For ZrSi2O2, a crystal structure in the Materials Project, relaxed with PBE gives the theoretical X-ray diffraction stick pattern in this record (Cu Kα).
Peak positions follow from Bragg's law for the DFT cell and can differ from measured ones.

Crystal structure
a = 10.078 Å, b = 10.078 Å, c = 10.078 Å
α = 131.50°, β = 131.50°, γ = 71.02°
Sites, in units of the cell vectors:
Zr  0.000  0.000  0.000
Zr  0.000  0.000  0.500
Zr  0.000  0.500  0.000
Zr  0.500  0.000  0.500
Si  0.180  0.219  0.960
Si  0.219  0.180  0.460
Si  0.219  0.759  0.040
Si  0.241  0.781  0.460
Si  0.759  0.219  0.540
Si  0.781  0.241  0.960
Si  0.781  0.820  0.540
Si  0.820  0.781  0.040
O  0.125  0.146  0.521
O  0.125  0.604  0.979
O  0.146  0.125  0.021
O  0.396  0.875  0.521
O  0.604  0.125  0.479
O  0.854  0.875  0.979
O  0.875  0.396  0.021
O  0.875  0.854  0.479

Top 12 peaks for 15 to 90 degrees two-theta, sorted by position:
- 21.67 deg, d = 4.102 Å, I 39
- 24.08 deg, d = 3.696 Å, I 20
- 24.65 deg, d = 3.612 Å, I 75
- 29.28 deg, d = 3.051 Å, I 29
- 30.54 deg, d = 2.927 Å, I 100
- 36.59 deg, d = 2.456 Å, I 20
- 37.76 deg, d = 2.383 Å, I 34
- 39.63 deg, d = 2.274 Å, I 36
- 43.74 deg, d = 2.070 Å, I 32
- 45.51 deg, d = 1.993 Å, I 17
- 48.36 deg, d = 1.882 Å, I 22
- 54.64 deg, d = 1.680 Å, I 18

For Sm32O21, a crystal structure in the Materials Project, relaxed with PBE gives the theoretical X-ray diffraction stick pattern in this record (Cu Kα).
Peak positions follow from Bragg's law for the DFT cell and can differ from measured ones.

Crystal structure
a = 10.924 Å, b = 10.924 Å, c = 10.924 Å
α = 90.21°, β = 90.21°, γ = 90.21°
Sites, in units of the cell vectors:
Sm  0.000  0.000  0.000
Sm  0.003  0.262  0.768
Sm  0.003  0.768  0.262
Sm  0.006  0.507  0.507
Sm  0.007  0.759  0.759
Sm  0.008  0.008  0.494
Sm  0.008  0.494  0.008
Sm  0.253  0.516  0.761
Sm  0.253  0.761  0.516
Sm  0.259  0.259  0.491
Sm  0.259  0.491  0.259
Sm  0.262  0.003  0.768
Sm  0.262  0.262  0.997
Sm  0.262  0.768  0.003
Sm  0.262  0.997  0.262
Sm  0.491  0.259  0.259
Sm  0.494  0.008  0.008
Sm  0.499  0.755  0.755
Sm  0.500  0.500  0.500
Sm  0.507  0.006  0.507
Sm  0.507  0.507  0.006
Sm  0.516  0.253  0.761
Sm  0.516  0.761  0.253
Sm  0.755  0.499  0.755
Sm  0.755  0.755  0.499
Sm  0.759  0.007  0.759
Sm  0.759  0.759  0.007
Sm  0.761  0.253  0.516
Sm  0.761  0.516  0.253
Sm  0.768  0.003  0.262
Sm  0.768  0.262  0.003
Sm  0.997  0.262  0.262
O  0.123  0.382  0.382
O  0.126  0.637  0.637
O  0.133  0.877  0.877
O  0.137  0.389  0.878
O  0.137  0.878  0.389
O  0.382  0.123  0.382
O  0.382  0.382  0.123
O  0.382  0.636  0.886
O  0.382  0.886  0.636
O  0.389  0.137  0.878
O  0.389  0.878  0.137
O  0.636  0.382  0.886
O  0.636  0.886  0.382
O  0.637  0.126  0.637
O  0.637  0.637  0.126
O  0.877  0.133  0.877
O  0.877  0.877  0.133
O  0.878  0.137  0.389
O  0.878  0.389  0.137
O  0.886  0.382  0.636
O  0.886  0.636  0.382

Top 12 peaks for 15 to 90 degrees two-theta, sorted by position:
- 28.27 deg, d = 3.157 Å, I 100
- 28.41 deg, d = 3.142 Å, I 33
- 32.79 deg, d = 2.731 Å, I 57
- 46.97 deg, d = 1.935 Å, I 27
- 47.15 deg, d = 1.927 Å, I 27
- 55.78 deg, d = 1.648 Å, I 43
- 55.97 deg, d = 1.643 Å, I 14
- 58.46 deg, d = 1.579 Å, I 11
- 75.78 deg, d = 1.255 Å, I 11
- 78.14 deg, d = 1.223 Å, I 9
- 78.42 deg, d = 1.219 Å, I 9
- 87.43 deg, d = 1.116 Å, I 8

For SmO2, a crystal structure in the Materials Project, relaxed with PBE gives the theoretical X-ray diffraction stick pattern in this record (Cu Kα).
Peak positions follow from Bragg's law for the DFT cell and can differ from measured ones.

Crystal structure
a = 4.263 Å, b = 3.789 Å, c = 6.316 Å
α = 90.00°, β = 104.37°, γ = 90.00°
Sites, in units of the cell vectors:
Sm  0.180  0.250  0.310
Sm  0.820  0.750  0.690
O  0.174  0.750  0.050
O  0.261  0.750  0.539
O  0.739  0.250  0.461
O  0.826  0.250  0.950

Top 12 peaks for 15 to 90 degrees two-theta, sorted by position:
- 21.52 deg, d = 4.129 Å, I 25
- 22.80 deg, d = 3.901 Å, I 54
- 27.69 deg, d = 3.221 Å, I 100
- 28.93 deg, d = 3.086 Å, I 47
- 31.79 deg, d = 2.815 Å, I 25
- 32.06 deg, d = 2.792 Å, I 38
- 32.96 deg, d = 2.718 Å, I 36
- 37.80 deg, d = 2.380 Å, I 33
- 42.60 deg, d = 2.122 Å, I 19
- 47.64 deg, d = 1.909 Å, I 34
- 50.83 deg, d = 1.796 Å, I 29
- 52.79 deg, d = 1.734 Å, I 25